(1)
The following is a theoretical XRD peak list of Nd6YEr4. It was derived from a DFT-relaxed cell (PBE, Alexandria), using Cu Kα (weighted mean of Kα1 and Kα2).
Intensities are scaled so that the largest is 100.

The 12 most intense peaks (2θ from 10° to 90°), by angle:
(hkl), Position (°2θ), I (rel.)
1 1 4, 27.93, 33
2 0 2, 29.00, 55
0 0 6, 30.51, 41
2 1 1, 30.83, 100
2 0 4, 34.06, 64
1 1 6, 36.24, 21
2 2 0, 38.73, 22
2 1 5, 39.97, 49
3 1 0, 43.53, 19
2 2 6, 50.09, 19
4 1 1, 58.08, 28
4 1 5, 64.12, 20

Structural model:
```
data_Nd6YEr4
_chemical_formula_sum 'Nd12 Y2 Er8'
_cell_length_a 6.5752
_cell_length_b 6.5752
_cell_length_c 17.5825
_cell_angle_alpha 90.00
_cell_angle_beta 90.00
_cell_angle_gamma 90.00
_space_group_name_H-M_alt 'I -4 2 m'
_space_group_IT_number 121
_space_group_name_Hall 'I -4 2'
loop_
_atom_site_label
_atom_site_type_symbol
_atom_site_fract_x
_atom_site_fract_y
_atom_site_fract_z
Nd1 Nd 0.0000 0.5000 0.0000
Nd2 Nd 0.1784 0.1784 0.3630
Y1 Y 0.0000 0.0000 0.0000
Er1 Er 0.1839 0.1839 0.1737
```


(2)
The following is a theoretical XRD peak list of Bi3IrCl3. It was derived from a DFT-relaxed cell (PBE, Alexandria), using Cu Kα (weighted mean of Kα1 and Kα2).
Intensities are scaled so that the largest is 100.

The 12 most intense peaks (2θ from 10° to 90°), by angle:
(hkl), Position (°2θ), I (rel.)
1 1 0, 10.33, 100
2 2 2, 25.47, 10
4 0 0, 29.49, 54
4 1 1, 31.33, 11
5 1 0, 37.87, 23
4 4 0, 42.20, 34
5 3 0, 43.56, 8
5 4 1, 48.71, 15
4 4 4, 52.32, 10
5 5 0, 53.49, 12
8 4 0, 69.39, 9
9 4 1, 78.10, 8

Structural model:
```
data_Bi3IrCl3
_chemical_formula_sum 'Bi24 Ir8 Cl24'
_cell_length_a 12.1140
_cell_length_b 12.1140
_cell_length_c 12.1140
_cell_angle_alpha 90.00
_cell_angle_beta 90.00
_cell_angle_gamma 90.00
_space_group_name_H-M_alt 'I 41 3 2'
_space_group_IT_number 214
_space_group_name_Hall 'I 4bd 2c 3'
loop_
_atom_site_label
_atom_site_type_symbol
_atom_site_fract_x
_atom_site_fract_y
_atom_site_fract_z
Bi1 Bi 0.1000 0.3500 0.1250
Ir1 Ir 0.1250 0.1250 0.1250
Cl1 Cl 0.1138 0.3750 0.3638
```


(3)
The following is a theoretical XRD peak list of Ac3Sb. It was derived from a DFT-relaxed cell (PBE, Alexandria), using Cu Kα (weighted mean of Kα1 and Kα2).
Intensities are scaled so that the largest is 100.

The 12 most intense peaks (2θ from 10° to 90°), by angle:
(hkl), Position (°2θ), I (rel.)
1 1 0, 21.90, 8
0 3 1, 26.29, 19
0 4 0, 29.00, 19
1 2 1, 29.38, 100
0 0 2, 29.73, 24
2 0 0, 42.03, 23
1 5 0, 42.29, 9
1 0 3, 50.25, 12
2 0 2, 52.33, 10
1 2 3, 52.54, 24
2 4 2, 60.94, 8
3 2 1, 69.09, 11

Structural model:
```
data_Ac3Sb
_chemical_formula_sum 'Ac6 Sb2'
_cell_length_a 4.2982
_cell_length_b 12.3167
_cell_length_c 6.0110
_cell_angle_alpha 90.00
_cell_angle_beta 90.00
_cell_angle_gamma 90.00
_space_group_name_H-M_alt 'I m m 2'
_space_group_IT_number 44
_space_group_name_Hall 'I 2 -2'
loop_
_atom_site_label
_atom_site_type_symbol
_atom_site_fract_x
_atom_site_fract_y
_atom_site_fract_z
Ac1 Ac 0.0000 0.0000 0.0000
Ac2 Ac 0.0000 0.2134 0.5583
Sb1 Sb 0.0000 0.5000 0.9731
```


(4)
The following is a theoretical XRD peak list of LaHo2Cu9. It was derived from a DFT-relaxed cell (PBE, Alexandria), using Cu Kα (weighted mean of Kα1 and Kα2).
Intensities are scaled so that the largest is 100.

The 12 most intense peaks (2θ from 10° to 90°), by angle:
(hkl), Position (°2θ), I (rel.)
1 0 5, 33.71, 50
1 1 0, 33.94, 47
2 0 1, 39.79, 29
1 1 4, 40.68, 100
2 0 3, 42.88, 22
1 0 7, 43.54, 16
0 0 8, 44.36, 14
2 1 5, 60.59, 18
3 0 4, 65.31, 23
2 0 9, 65.67, 16
1 1 10, 67.41, 14
2 2 0, 71.43, 22

Structural model:
```
data_LaHo2Cu9
_chemical_formula_sum 'La2 Ho4 Cu18'
_cell_length_a 5.2828
_cell_length_b 5.2828
_cell_length_c 16.3354
_cell_angle_alpha 90.00
_cell_angle_beta 90.00
_cell_angle_gamma 120.00
_space_group_name_H-M_alt 'P 63/m m c'
_space_group_IT_number 194
_space_group_name_Hall '-P 6c 2c'
loop_
_atom_site_label
_atom_site_type_symbol
_atom_site_fract_x
_atom_site_fract_y
_atom_site_fract_z
La1 La 0.3333 0.6667 0.2500
Ho1 Ho 0.3333 0.6667 0.0326
Cu1 Cu 0.0000 0.0000 0.0000
Cu2 Cu 0.0000 0.0000 0.2500
Cu3 Cu 0.1669 0.3338 0.6248
Cu4 Cu 0.3333 0.6667 0.7500
```


Please write out number 2 again, unchanged.
The following is a theoretical XRD peak list of Bi3IrCl3. It was derived from a DFT-relaxed cell (PBE, Alexandria), using Cu Kα (weighted mean of Kα1 and Kα2).
Intensities are scaled so that the largest is 100.

The 12 most intense peaks (2θ from 10° to 90°), by angle:
(hkl), Position (°2θ), I (rel.)
1 1 0, 10.33, 100
2 2 2, 25.47, 10
4 0 0, 29.49, 54
4 1 1, 31.33, 11
5 1 0, 37.87, 23
4 4 0, 42.20, 34
5 3 0, 43.56, 8
5 4 1, 48.71, 15
4 4 4, 52.32, 10
5 5 0, 53.49, 12
8 4 0, 69.39, 9
9 4 1, 78.10, 8

Structural model:
```
data_Bi3IrCl3
_chemical_formula_sum 'Bi24 Ir8 Cl24'
_cell_length_a 12.1140
_cell_length_b 12.1140
_cell_length_c 12.1140
_cell_angle_alpha 90.00
_cell_angle_beta 90.00
_cell_angle_gamma 90.00
_space_group_name_H-M_alt 'I 41 3 2'
_space_group_IT_number 214
_space_group_name_Hall 'I 4bd 2c 3'
loop_
_atom_site_label
_atom_site_type_symbol
_atom_site_fract_x
_atom_site_fract_y
_atom_site_fract_z
Bi1 Bi 0.1000 0.3500 0.1250
Ir1 Ir 0.1250 0.1250 0.1250
Cl1 Cl 0.1138 0.3750 0.3638
```